Entry 1:
# Li3Co2Si2O8
Simulated powder X-ray diffraction pattern, Cu Kα (weighted mean of Kα1 and Kα2). Input: a structure optimized by DFT (GGA+U).
Lines closer than 0.1° are merged.

Cell and atoms:
```
data_Li3Co2Si2O8
_chemical_formula_sum 'Li3 Co2 Si2 O8'
_symmetry_space_group_name_H-M 'P 1'
_symmetry_Int_Tables_number 1
_cell_length_a 5.0045
_cell_length_b 5.3097
_cell_length_c 6.5705
_cell_angle_alpha 90.85
_cell_angle_beta 90.22
_cell_angle_gamma 90.49
loop_
_symmetry_equiv_pos_as_xyz
'x,y,z'
loop_
_atom_site_label
_atom_site_type_symbol
_atom_site_fract_x
_atom_site_fract_y
_atom_site_fract_z
Li1 Li 0.0000 0.0000 0.0000
Li2 Li 0.0040 0.4958 0.7712
Li3 Li 0.5024 0.6774 0.0007
Co1 Co 0.0132 0.0252 0.4824
Co2 Co 0.5107 0.6567 0.4982
Si1 Si 0.5153 0.1601 0.7514
Si2 Si 0.9893 0.5228 0.2374
O1 O 0.0614 0.2189 0.2592
O2 O 0.1092 0.6695 0.4549
O3 O 0.1131 0.6401 0.0325
O4 O 0.1793 0.1432 0.7259
O5 O 0.6047 0.4597 0.7387
O6 O 0.6190 0.0161 0.9463
O7 O 0.6383 0.0112 0.5426
O8 O 0.6682 0.5614 0.2469
```

Main lines, most intense first (2θ = 15–90°):
- 2θ = 35.89°, 2.502 Å, I 100, hkl 2 0 0
- 2θ = 21.36°, 4.160 Å, I 95, hkl 0 1 -1
- 2θ = 22.33°, 3.981 Å, I 94, hkl 1 0 -1
- 2θ = 28.00°, 3.187 Å, I 89, hkl -1 1 1
- 2θ = 33.77°, 2.654 Å, I 79, hkl 0 2 0
- 2θ = 28.27°, 3.157 Å, I 71, hkl 1 1 1
- 2θ = 36.66°, 2.451 Å, I 59, hkl 1 -1 2
- 2θ = 32.26°, 2.775 Å, I 54, hkl 0 1 2
- 2θ = 65.01°, 1.435 Å, I 42, hkl 3 -1 2
- 2θ = 55.97°, 1.643 Å, I 40, hkl 0 0 4

***

Entry 2:
# NaFe2H3S2O8
Simulated powder X-ray diffraction pattern, Cu Kα (weighted mean of Kα1 and Kα2). Input: a structure optimized by DFT (GGA+U).
Lines closer than 0.1° are merged.

Cell and atoms:
```
data_NaFe2H3S2O8
_chemical_formula_sum 'Na2 Fe4 H6 S4 O16'
_symmetry_space_group_name_H-M 'P 1'
_symmetry_Int_Tables_number 1
_cell_length_a 6.4186
_cell_length_b 7.9603
_cell_length_c 9.0895
_cell_angle_alpha 99.91
_cell_angle_beta 110.11
_cell_angle_gamma 111.73
loop_
_symmetry_equiv_pos_as_xyz
'x,y,z'
loop_
_atom_site_label
_atom_site_type_symbol
_atom_site_fract_x
_atom_site_fract_y
_atom_site_fract_z
Na1 Na 0.0768 0.1742 0.4138
Na2 Na 0.9232 0.8258 0.5862
Fe1 Fe 0.0000 0.0000 0.0000
Fe2 Fe 0.3114 0.8260 0.3089
Fe3 Fe 0.5000 0.0000 0.0000
Fe4 Fe 0.6886 0.1740 0.6911
H1 H 0.0568 0.5641 0.7675
H2 H 0.1033 0.7174 0.9910
H3 H 0.1932 0.4376 0.2324
H4 H 0.8068 0.5624 0.7676
H5 H 0.8967 0.2826 0.0090
H6 H 0.9432 0.4359 0.2325
S1 S 0.2596 0.2526 0.7982
S2 S 0.4415 0.7007 0.6559
S3 S 0.5585 0.2993 0.3441
S4 S 0.7403 0.7474 0.2018
O1 O 0.0072 0.8286 0.3465
O2 O 0.0871 0.5036 0.2094
O3 O 0.2014 0.8518 0.0673
O4 O 0.2306 0.0789 0.8652
O5 O 0.2842 0.2499 0.2291
O6 O 0.3244 0.7437 0.7708
O7 O 0.4095 0.2454 0.7002
O8 O 0.4745 0.8603 0.5750
O9 O 0.5255 0.1397 0.4250
O10 O 0.5905 0.7546 0.2998
O11 O 0.6756 0.2563 0.2292
O12 O 0.7158 0.7501 0.7709
O13 O 0.7694 0.9211 0.1348
O14 O 0.7986 0.1482 0.9327
O15 O 0.9129 0.4964 0.7906
O16 O 0.9928 0.1714 0.6535
```

Main lines, most intense first (2θ = 15–90°):
- 2θ = 31.38°, 2.851 Å, I 100, hkl 0 2 1
- 2θ = 27.62°, 3.230 Å, I 55, hkl 0 2 -2
- 2θ = 35.41°, 2.535 Å, I 46, hkl 2 0 -3
- 2θ = 19.57°, 4.535 Å, I 46, hkl 0 1 1
- 2θ = 27.82°, 3.206 Å, I 31, hkl -2 1 1
- 2θ = 31.47°, 2.842 Å, I 28, hkl 0 1 -3
- 2θ = 25.65°, 3.473 Å, I 27, hkl 0 2 0
- 2θ = 57.48°, 1.603 Å, I 26, hkl -4 2 2
- 2θ = 30.89°, 2.895 Å, I 24, hkl 2 0 -2
- 2θ = 29.30°, 3.048 Å, I 23, hkl 0 1 2